Simulated PXRD pattern
Compound: Ho2PuTaN4
Radiation: Cu Ka
Structure: a DFT-relaxed cell (PBE, Alexandria)

```
Ho2PuTaN4
1.0
5.801 0.000 0.000
0.000 3.345 0.000
-1.891 0.000 5.484
Ho Pu Ta N
2 1 1 4
direct
0.000 0.000 0.000 Ho
0.500 0.500 0.000 Ho
0.000 0.500 0.500 Pu
0.500 0.000 0.500 Ta
0.262 0.000 0.735 N
0.271 0.500 0.272 N
0.729 0.500 0.728 N
0.738 0.000 0.265 N
```

Most intense lines, 2θ from 10° to 90°, low angle first:
2θ (°)  I (rel.)  hkl
32.66  100  2 0 0
32.81  99  1 1 -1
37.91  90  1 1 1
38.11  44  2 0 -2
54.50  15  2 0 2
54.85  76  0 2 0
65.09  30  3 1 1
65.39  44  4 0 -2
68.43  16  4 0 0
68.78  15  2 2 -2